# 1
Starting from a DFT-relaxed cell (PBE, Alexandria), the PXRD pattern of Al2PSe was calculated for CuKα.

Atomic structure:
Lattice parameters (Å, degrees): 3.544 3.410 12.292 90.00 90.00 90.00
Atoms (fractional coordinates):
Al 0.000 0.000 0.000
Al 0.000 0.500 0.500
Al 0.500 0.000 0.207
Al 0.500 0.500 0.707
P 0.500 0.000 0.549
P 0.500 0.500 0.049
Se 0.000 0.000 0.797
Se 0.000 0.500 0.297

Largest 6 diffraction maxima, in order of falling intensity, 2θ = 15–90°:
Position (°2θ), intensity, index
37.32, 100.0, 1 1 1
29.07, 99.6, 0 0 4
51.55, 46.9, 2 0 0
42.92, 41.7, 1 1 3
45.49, 37.1, 0 1 5
27.14, 36.6, 0 1 1

***

# 2
Starting from a DFT-relaxed cell (PBE, Alexandria), the PXRD pattern of Ca7InN4 was calculated for CuKα.

Atomic structure:
Lattice parameters (Å, degrees): 11.680 12.086 3.623 90.00 90.00 90.00
Atoms (fractional coordinates):
Ca 0.000 0.000 0.000
Ca 0.023 0.233 0.500
Ca 0.233 0.069 0.500
Ca 0.234 0.827 0.000
Ca 0.266 0.327 0.000
Ca 0.267 0.569 0.500
Ca 0.477 0.733 0.500
Ca 0.500 0.500 0.000
Ca 0.523 0.267 0.500
Ca 0.733 0.431 0.500
Ca 0.734 0.673 0.000
Ca 0.766 0.173 0.000
Ca 0.767 0.931 0.500
Ca 0.977 0.767 0.500
In 0.000 0.500 0.002
In 0.500 0.000 0.998
N 0.129 0.897 0.500
N 0.142 0.167 0.000
N 0.358 0.667 0.000
N 0.371 0.397 0.500
N 0.629 0.603 0.500
N 0.642 0.333 0.000
N 0.858 0.833 0.000
N 0.871 0.103 0.500

Largest 6 diffraction maxima, in order of falling intensity, 2θ = 15–90°:
Position (°2θ), intensity, index
32.64, 100.0, 2 2 1
30.60, 36.3, 4 0 0
33.39, 31.7, 2 4 0
51.94, 18.8, 0 6 1
23.36, 17.6, 1 3 0
24.01, 16.8, 3 1 0